Record 1
The following is a theoretical X-ray powder pattern of Tl3H. It was derived from a PBE-relaxed structure, using Cu Ka.

Main lines, low angle first (2θ from 15° to 90°):
Position (°2θ), d_spacing, I/Imax
23.9, 3.724, 48.4
24.7, 3.609, 15.1
28.6, 3.126, 27.8
34.6, 2.592, 100.0
38.1, 2.363, 17.4
38.8, 2.318, 17.9
48.9, 1.862, 13.0
50.6, 1.805, 19.2
62.7, 1.481, 14.2
65.5, 1.424, 17.8
67.6, 1.386, 14.7
68.5, 1.370, 13.3

Unit cell a=7.2188 b=7.2188 c=4.6369 alpha=90.00 beta=90.00 gamma=120.00
Space group P6_3/mmc (No. 194)
One atom of each set of equivalent atoms:
Tl1 0.1837 0.3674 0.2500
H1 0.3333 0.6667 0.7500

***

Record 2
The following is a theoretical X-ray powder pattern of Ce2Sn5. It was derived from a PBE-relaxed structure, using Cu Ka.

Main lines, low angle first (2θ from 15° to 90°):
Position (°2θ), d_spacing, I/Imax
32.7, 2.741, 100.0
36.2, 2.482, 15.6
38.6, 2.332, 17.1
38.9, 2.318, 17.9
53.9, 1.700, 10.2
54.1, 1.694, 10.0
55.9, 1.644, 12.6
62.9, 1.478, 9.3
66.1, 1.413, 14.1
66.5, 1.407, 13.4
68.4, 1.371, 10.5
88.9, 1.101, 3.9

Unit cell a=4.6362 b=34.7535 c=4.6644 alpha=90.00 beta=90.00 gamma=90.00
Space group Cmmm (No. 65)
One atom of each set of equivalent atoms:
Ce1 0.0000 0.0684 0.0000
Ce2 0.0000 0.2028 0.0000
Sn1 0.0000 0.0000 0.5000
Sn2 0.0000 0.1379 0.5000
Sn3 0.0000 0.2801 0.5000
Sn4 0.0000 0.3625 0.0000
Sn5 0.0000 0.4296 0.5000
Sn6 0.0000 0.5000 0.0000

***

Record 3
The following is a theoretical X-ray powder pattern of Na4Al3Si3ClO12. It was derived from a PBE-relaxed structure, using Cu Ka.

Main lines, low angle first (2θ from 15° to 90°):
Position (°2θ), d_spacing, I/Imax
24.2, 3.670, 100.0
31.4, 2.848, 4.6
34.6, 2.595, 18.0
37.4, 2.406, 9.8
37.5, 2.400, 12.1
42.6, 2.124, 11.8
42.7, 2.118, 16.8
42.8, 2.114, 6.9
58.0, 1.591, 5.8
58.1, 1.587, 6.0
61.9, 1.499, 4.9
62.0, 1.497, 4.9

Unit cell a=12.7106 b=8.9889 c=8.9635 alpha=90.00 beta=134.80 gamma=90.00
Space group C2 (No. 5)
One atom of each set of equivalent atoms:
Na1 0.1759 0.0000 0.4934
Na2 0.1818 0.6415 0.8549
Al1 0.0000 0.0730 0.0000
Al2 0.2485 0.3218 0.7441
Si1 0.0000 0.5675 0.0000
Si2 0.0047 0.3202 0.7560
Cl1 0.0000 0.8219 0.5000
O1 0.0553 0.4613 0.1968
O2 0.0683 0.1855 0.9213
O3 0.1361 0.2611 0.4815
O4 0.1403 0.3829 0.7894
O5 0.1428 0.6650 0.0901
O6 0.1498 0.9718 0.2157

***

Record 4
The following is a theoretical X-ray powder pattern of Sm2RuAu. It was derived from a PBE-relaxed structure, using Cu Ka.

Main lines, low angle first (2θ from 15° to 90°):
Position (°2θ), d_spacing, I/Imax
21.5, 4.126, 5.4
35.5, 2.527, 100.0
41.9, 2.155, 3.3
51.1, 1.787, 17.8
56.1, 1.640, 1.4
63.8, 1.459, 36.5
68.2, 1.375, 1.1
75.2, 1.263, 11.4
79.3, 1.208, 1.2
86.0, 1.130, 16.4

Unit cell a=7.1473 b=7.1473 c=7.1473 alpha=90.00 beta=90.00 gamma=90.00
Space group Fm-3m (No. 225)
One atom of each set of equivalent atoms:
Sm1 0.2500 0.2500 0.2500
Ru1 0.0000 0.0000 0.0000
Au1 0.0000 0.0000 0.5000

***

Record 5
The following is a theoretical X-ray powder pattern of ThGe. It was derived from a PBE-relaxed structure, using Cu Ka.

Main lines, low angle first (2θ from 15° to 90°):
Position (°2θ), d_spacing, I/Imax
25.3, 3.514, 46.0
29.3, 3.044, 100.0
42.0, 2.152, 77.0
49.7, 1.835, 24.0
52.0, 1.757, 27.7
60.9, 1.522, 13.0
67.0, 1.396, 10.2
69.0, 1.361, 36.0
76.7, 1.243, 26.9
82.3, 1.171, 8.0

Unit cell a=6.0870 b=6.0870 c=6.0870 alpha=90.00 beta=90.00 gamma=90.00
Space group Fm-3m (No. 225)
One atom of each set of equivalent atoms:
Th1 0.0000 0.0000 0.0000
Ge1 0.0000 0.0000 0.5000

***

Record 6
The following is a theoretical X-ray powder pattern of BaYMgTiCuO5. It was derived from a PBE-relaxed structure, using Cu Ka.

Main lines, low angle first (2θ from 15° to 90°):
Position (°2θ), d_spacing, I/Imax
17.9, 4.942, 30.2
24.8, 3.584, 28.4
29.4, 3.035, 100.0
30.0, 2.983, 84.2
32.0, 2.801, 50.0
32.5, 2.753, 93.3
32.9, 2.725, 66.1
35.9, 2.502, 55.3
44.2, 2.049, 28.0
45.9, 1.977, 28.1
47.3, 1.923, 39.5
52.5, 1.744, 33.0

Unit cell a=4.1145 b=3.8458 c=9.9525 alpha=90.00 beta=96.70 gamma=90.00
Space group Pm (No. 6)
One atom of each set of equivalent atoms:
Ba1 0.0000 0.0000 0.0000
Y1 0.2686 0.0000 0.3969
Mg1 0.4322 0.5000 0.7714
Ti1 0.8547 0.5000 0.5572
Cu1 0.5684 0.5000 0.1938
O1 0.3757 0.5000 0.5643
O2 0.4592 0.0000 0.1951
O3 0.8154 0.0000 0.5182
O4 0.9286 0.5000 0.7479
O5 0.9713 0.5000 0.3512

***

Record 7
The following is a theoretical X-ray powder pattern of La6Co13Bi. It was derived from a PBE-relaxed structure, using Cu Ka.

Main lines, low angle first (2θ from 15° to 90°):
Position (°2θ), d_spacing, I/Imax
27.1, 3.285, 72.7
27.8, 3.213, 43.3
31.2, 2.863, 84.6
31.9, 2.803, 54.2
34.6, 2.595, 35.4
35.0, 2.564, 100.0
38.1, 2.364, 46.7
42.2, 2.139, 32.8
43.0, 2.106, 56.5
46.3, 1.960, 36.5
50.3, 1.813, 39.9
67.1, 1.395, 33.3

Unit cell a=8.1097 b=8.1097 c=23.2746 alpha=90.00 beta=90.00 gamma=90.00
Space group I4/mcm (No. 140)
One atom of each set of equivalent atoms:
La1 0.0000 0.0000 0.0993
La2 0.1596 0.3404 0.1787
Co1 0.0000 0.5000 0.0000
Co2 0.0652 0.2131 0.5000
Co3 0.1143 0.3857 0.4120
Co4 0.1767 0.3233 0.0557
Bi1 0.0000 0.0000 0.2500

***

Record 8
The following is a theoretical X-ray powder pattern of LiEr2In. It was derived from a PBE-relaxed structure, using Cu Ka.

Main lines, low angle first (2θ from 15° to 90°):
Position (°2θ), d_spacing, I/Imax
20.8, 4.266, 14.4
24.1, 3.695, 25.9
34.3, 2.613, 100.0
40.5, 2.228, 7.7
42.4, 2.133, 8.0
49.3, 1.847, 17.9
55.6, 1.652, 11.0
61.5, 1.508, 36.9
72.3, 1.306, 11.4
77.5, 1.232, 5.3
82.6, 1.168, 16.1
87.6, 1.114, 3.2

Unit cell a=7.3896 b=7.3896 c=7.3896 alpha=90.00 beta=90.00 gamma=90.00
Space group Fm-3m (No. 225)
One atom of each set of equivalent atoms:
Li1 0.0000 0.0000 0.0000
Er1 0.2500 0.2500 0.2500
In1 0.0000 0.0000 0.5000